Starting from a crystal structure in the Materials Project, relaxed with GGA-PBE, the powder X-ray diffraction pattern of MgInS3 was simulated for Cu Kα X-rays.
Kinematic intensities with the Lorentz-polarization factor, no thermal factor.

Structure:
Cell: 6.809 6.809 6.516 Å, 104.34 104.34 120.21°
Atoms (fractional coordinates):
Mg  0.170  0.830  0.000
Mg  0.830  0.170  0.000
In  0.342  0.342  0.655
In  0.658  0.658  0.345
S  0.021  0.373  0.739
S  0.248  0.248  0.230
S  0.373  0.021  0.739
S  0.627  0.979  0.261
S  0.752  0.752  0.770
S  0.979  0.627  0.261

Peak list (8 most intense, 2θ from 5° to 70°, by intensity)
2θ/deg, Rel. int.
15.0, 100.0
28.4, 81.1
27.8, 78.8
27.3, 67.4
30.4, 59.5
30.3, 54.3
21.8, 49.9
46.9, 49.4

***

Starting from a crystal structure in the Materials Project, relaxed with GGA-PBE, the powder X-ray diffraction pattern of MgIn2S4 was simulated for Cu Kα X-rays.
Kinematic intensities with the Lorentz-polarization factor, no thermal factor.

Structure:
Cell: 6.845 7.910 12.973 Å, 80.97 84.85 89.83°
Atoms (fractional coordinates):
Mg  0.133  0.199  0.201
Mg  0.248  0.375  0.499
Mg  0.752  0.625  0.501
Mg  0.867  0.801  0.799
In  0.139  0.699  0.202
In  0.241  0.875  0.500
In  0.370  0.047  0.800
In  0.370  0.555  0.797
In  0.630  0.445  0.203
In  0.630  0.953  0.200
In  0.759  0.125  0.500
In  0.861  0.301  0.798
S  0.099  0.648  0.395
S  0.105  0.155  0.393
S  0.184  0.781  0.877
S  0.186  0.281  0.878
S  0.310  0.972  0.123
S  0.311  0.467  0.123
S  0.399  0.102  0.605
S  0.400  0.597  0.603
S  0.600  0.403  0.397
S  0.601  0.898  0.395
S  0.689  0.533  0.877
S  0.690  0.028  0.877
S  0.814  0.719  0.122
S  0.816  0.219  0.123
S  0.895  0.845  0.607
S  0.901  0.352  0.605

Peak list (8 most intense, 2θ from 5° to 70°, by intensity)
2θ/deg, Rel. int.
20.9, 100.0
26.4, 84.8
27.6, 74.7
45.9, 64.1
32.2, 55.4
48.3, 45.7
26.1, 42.1
40.5, 40.8

***

Starting from a crystal structure in the Materials Project, relaxed with GGA-PBE, the powder X-ray diffraction pattern of MgIn2S4 was simulated for Cu Kα X-rays.
Kinematic intensities with the Lorentz-polarization factor, no thermal factor.

Structure:
Cell: 12.406 7.436 12.692 Å, 90.00 90.00 90.00°
Atoms (fractional coordinates):
Mg  0.111  0.123  0.000
Mg  0.128  0.621  0.622
Mg  0.372  0.621  0.122
Mg  0.389  0.123  0.500
Mg  0.611  0.877  0.000
Mg  0.628  0.379  0.622
Mg  0.872  0.379  0.122
Mg  0.889  0.877  0.500
In  0.104  0.618  0.987
In  0.126  0.120  0.630
In  0.141  0.377  0.287
In  0.142  0.870  0.277
In  0.358  0.870  0.777
In  0.359  0.377  0.787
In  0.374  0.120  0.130
In  0.396  0.618  0.487
In  0.604  0.382  0.987
In  0.626  0.880  0.630
In  0.641  0.623  0.287
In  0.642  0.130  0.277
In  0.858  0.130  0.777
In  0.859  0.623  0.787
In  0.874  0.880  0.130
In  0.896  0.382  0.487
S  0.018  0.620  0.177
S  0.021  0.131  0.187
S  0.028  0.114  0.452
S  0.041  0.622  0.438
S  0.213  0.623  0.812
S  0.220  0.123  0.822
S  0.232  0.372  0.082
S  0.236  0.869  0.082
S  0.264  0.869  0.582
S  0.268  0.372  0.582
S  0.280  0.123  0.322
S  0.287  0.623  0.312
S  0.459  0.622  0.938
S  0.472  0.114  0.952
S  0.479  0.131  0.687
S  0.482  0.620  0.677
S  0.518  0.380  0.177
S  0.521  0.869  0.187
S  0.528  0.886  0.452
S  0.541  0.378  0.438
S  0.713  0.377  0.812
S  0.720  0.877  0.822
S  0.732  0.628  0.082
S  0.736  0.131  0.082
S  0.764  0.131  0.582
S  0.768  0.628  0.582
S  0.780  0.877  0.322
S  0.787  0.377  0.312
S  0.959  0.378  0.938
S  0.972  0.886  0.952
S  0.979  0.869  0.687
S  0.982  0.380  0.677

Peak list (8 most intense, 2θ from 5° to 70°, by intensity)
2θ/deg, Rel. int.
25.5, 100.0
33.2, 97.4
35.4, 67.3
49.0, 59.6
28.8, 44.7
43.8, 40.1
46.3, 31.7
26.0, 28.8

***

Starting from a crystal structure in the Materials Project, relaxed with GGA-PBE, the powder X-ray diffraction pattern of MgIn2S4 was simulated for Cu Kα X-rays.
Kinematic intensities with the Lorentz-polarization factor, no thermal factor.

Structure:
Cell: 12.390 3.728 12.674 Å, 90.00 90.00 90.00°
Atoms (fractional coordinates):
Mg  0.125  0.250  0.075
Mg  0.375  0.750  0.575
Mg  0.625  0.250  0.425
Mg  0.875  0.750  0.925
In  0.109  0.750  0.413
In  0.145  0.750  0.798
In  0.355  0.250  0.298
In  0.391  0.250  0.913
In  0.609  0.750  0.087
In  0.645  0.750  0.702
In  0.855  0.250  0.202
In  0.891  0.250  0.587
S  0.025  0.250  0.891
S  0.032  0.750  0.618
S  0.215  0.750  0.235
S  0.249  0.750  0.977
S  0.251  0.250  0.477
S  0.285  0.250  0.735
S  0.468  0.250  0.118
S  0.475  0.750  0.391
S  0.525  0.250  0.609
S  0.532  0.750  0.882
S  0.715  0.750  0.265
S  0.749  0.750  0.523
S  0.751  0.250  0.023
S  0.785  0.250  0.765
S  0.968  0.250  0.382
S  0.975  0.750  0.109

Peak list (8 most intense, 2θ from 5° to 70°, by intensity)
2θ/deg, Rel. int.
27.9, 100.0
15.7, 89.9
25.5, 80.2
35.4, 68.7
33.1, 61.2
43.8, 58.9
49.1, 44.0
43.6, 36.5

***

Please write out number 3 again, unchanged.
Starting from a crystal structure in the Materials Project, relaxed with GGA-PBE, the powder X-ray diffraction pattern of MgIn2S4 was simulated for Cu Kα X-rays.
Kinematic intensities with the Lorentz-polarization factor, no thermal factor.

Structure:
Cell: 12.406 7.436 12.692 Å, 90.00 90.00 90.00°
Atoms (fractional coordinates):
Mg  0.111  0.123  0.000
Mg  0.128  0.621  0.622
Mg  0.372  0.621  0.122
Mg  0.389  0.123  0.500
Mg  0.611  0.877  0.000
Mg  0.628  0.379  0.622
Mg  0.872  0.379  0.122
Mg  0.889  0.877  0.500
In  0.104  0.618  0.987
In  0.126  0.120  0.630
In  0.141  0.377  0.287
In  0.142  0.870  0.277
In  0.358  0.870  0.777
In  0.359  0.377  0.787
In  0.374  0.120  0.130
In  0.396  0.618  0.487
In  0.604  0.382  0.987
In  0.626  0.880  0.630
In  0.641  0.623  0.287
In  0.642  0.130  0.277
In  0.858  0.130  0.777
In  0.859  0.623  0.787
In  0.874  0.880  0.130
In  0.896  0.382  0.487
S  0.018  0.620  0.177
S  0.021  0.131  0.187
S  0.028  0.114  0.452
S  0.041  0.622  0.438
S  0.213  0.623  0.812
S  0.220  0.123  0.822
S  0.232  0.372  0.082
S  0.236  0.869  0.082
S  0.264  0.869  0.582
S  0.268  0.372  0.582
S  0.280  0.123  0.322
S  0.287  0.623  0.312
S  0.459  0.622  0.938
S  0.472  0.114  0.952
S  0.479  0.131  0.687
S  0.482  0.620  0.677
S  0.518  0.380  0.177
S  0.521  0.869  0.187
S  0.528  0.886  0.452
S  0.541  0.378  0.438
S  0.713  0.377  0.812
S  0.720  0.877  0.822
S  0.732  0.628  0.082
S  0.736  0.131  0.082
S  0.764  0.131  0.582
S  0.768  0.628  0.582
S  0.780  0.877  0.322
S  0.787  0.377  0.312
S  0.959  0.378  0.938
S  0.972  0.886  0.952
S  0.979  0.869  0.687
S  0.982  0.380  0.677

Peak list (8 most intense, 2θ from 5° to 70°, by intensity)
2θ/deg, Rel. int.
25.5, 100.0
33.2, 97.4
35.4, 67.3
49.0, 59.6
28.8, 44.7
43.8, 40.1
46.3, 31.7
26.0, 28.8

***

What did the second record say?
Starting from a crystal structure in the Materials Project, relaxed with GGA-PBE, the powder X-ray diffraction pattern of MgIn2S4 was simulated for Cu Kα X-rays.
Kinematic intensities with the Lorentz-polarization factor, no thermal factor.

Structure:
Cell: 6.845 7.910 12.973 Å, 80.97 84.85 89.83°
Atoms (fractional coordinates):
Mg  0.133  0.199  0.201
Mg  0.248  0.375  0.499
Mg  0.752  0.625  0.501
Mg  0.867  0.801  0.799
In  0.139  0.699  0.202
In  0.241  0.875  0.500
In  0.370  0.047  0.800
In  0.370  0.555  0.797
In  0.630  0.445  0.203
In  0.630  0.953  0.200
In  0.759  0.125  0.500
In  0.861  0.301  0.798
S  0.099  0.648  0.395
S  0.105  0.155  0.393
S  0.184  0.781  0.877
S  0.186  0.281  0.878
S  0.310  0.972  0.123
S  0.311  0.467  0.123
S  0.399  0.102  0.605
S  0.400  0.597  0.603
S  0.600  0.403  0.397
S  0.601  0.898  0.395
S  0.689  0.533  0.877
S  0.690  0.028  0.877
S  0.814  0.719  0.122
S  0.816  0.219  0.123
S  0.895  0.845  0.607
S  0.901  0.352  0.605

Peak list (8 most intense, 2θ from 5° to 70°, by intensity)
2θ/deg, Rel. int.
20.9, 100.0
26.4, 84.8
27.6, 74.7
45.9, 64.1
32.2, 55.4
48.3, 45.7
26.1, 42.1
40.5, 40.8